For UGa6Cu6, a DFT-relaxed cell (GGA-PBE, Alexandria) gives the simulated X-ray powder pattern in this record (λ = 1.5418 Å (Cu Kα)).
Neutral-atom scattering factors, no anomalous dispersion.

Main lines, by angle (2θ from 15° to 90°):
two_theta  intensity  h k l
34.90  32  2 0 0
35.27  58  1 0 3
35.91  36  1 3 0
40.67  60  2 0 2
40.92  56  2 2 0
41.10  35  0 0 4
41.24  100  1 2 3
41.55  62  1 3 2
42.09  45  0 4 0
46.05  32  2 2 2

Cell: 5.141 8.587 8.784 Å, 90.00 90.00 90.00°
Space group Immm (No. 71)
Asymmetric unit:
1 U 0.000 0.000 0.000 (multiplicity 2)
2 Ga 0.000 0.000 0.347 (multiplicity 4)
3 Ga 0.000 0.347 0.000 (multiplicity 4)
4 Ga 0.000 0.500 0.309 (multiplicity 4)
5 Cu 0.000 0.266 0.500 (multiplicity 4)
6 Cu 0.250 0.250 0.250 (multiplicity 8)


For UGa3Cu, a DFT-relaxed cell (GGA-PBE, Alexandria) gives the simulated X-ray powder pattern in this record (λ = 1.5418 Å (Cu Kα)).
Neutral-atom scattering factors, no anomalous dispersion.

Main lines, by angle (2θ from 15° to 90°):
two_theta  intensity  h k l
23.00  25  0 0 1
30.36  23  1 1 -1
33.58  62  2 0 1
35.00  100  3 1 -1
43.47  46  0 2 0
48.82  30  6 0 -1
56.02  29  2 2 1
63.16  15  2 2 -2
67.41  23  6 2 -1
74.30  23  5 1 -3

Cell: 11.231 4.163 4.163 Å, 90.00 111.74 90.00°
Space group Cm (No. 8)
Asymmetric unit:
1 U 0.000 0.000 0.000 (multiplicity 2)
2 Ga 0.093 0.500 0.594 (multiplicity 2)
3 Ga 0.249 0.000 0.748 (multiplicity 2)
4 Ga 0.249 0.500 0.249 (multiplicity 2)
5 Cu 0.369 0.000 0.368 (multiplicity 2)


For V4Ga2Cu, a DFT-relaxed cell (GGA-PBE, Alexandria) gives the simulated X-ray powder pattern in this record (λ = 1.5418 Å (Cu Kα)).
Neutral-atom scattering factors, no anomalous dispersion.

Main lines, by angle (2θ from 15° to 90°):
two_theta  intensity  h k l
34.63  23  0 2 0
40.24  27  0 2 2
41.24  18  1 2 -1
41.37  100  1 0 3
43.01  46  2 0 -1
43.76  50  1 2 1
55.01  22  1 2 3
60.36  15  2 2 -3
77.69  16  3 0 2
87.59  20  1 4 3

Cell: 4.206 5.181 9.181 Å, 90.00 103.24 90.00°
Space group P2_1/m (No. 11)
Asymmetric unit:
1 V 0.070 0.250 0.158 (multiplicity 2)
2 V 0.206 0.750 0.412 (multiplicity 2)
3 V 0.357 0.505 0.715 (multiplicity 4)
4 Ga 0.217 0.250 0.434 (multiplicity 2)
5 Ga 0.486 0.250 0.990 (multiplicity 2)
6 Cu 0.078 0.750 0.141 (multiplicity 2)


For V2Ga8Cu3, a DFT-relaxed cell (GGA-PBE, Alexandria) gives the simulated X-ray powder pattern in this record (λ = 1.5418 Å (Cu Kα)).
Neutral-atom scattering factors, no anomalous dispersion.

Main lines, by angle (2θ from 15° to 90°):
two_theta  intensity  h k l
18.36  8  2 1 1
28.20  12  3 2 1
30.20  13  4 0 0
41.79  8  5 2 1
43.23  100  4 4 0
47.33  6  6 1 1
53.64  3  4 4 4
62.79  14  8 0 0
71.24  4  8 4 0
79.29  26  8 4 4

Cell: 11.839 11.839 11.839 Å, 90.00 90.00 90.00°
Space group I-43d (No. 220)
Asymmetric unit:
1 V 0.013 0.013 0.013 (multiplicity 16)
2 Ga 0.113 0.387 0.613 (multiplicity 16)
3 Ga 0.117 0.120 0.625 (multiplicity 48)
4 Cu 0.000 0.250 0.754 (multiplicity 24)


For YGa6Cu2, a DFT-relaxed cell (GGA-PBE, Alexandria) gives the simulated X-ray powder pattern in this record (λ = 1.5418 Å (Cu Kα)).
Neutral-atom scattering factors, no anomalous dispersion.

Main lines, by angle (2θ from 15° to 90°):
two_theta  intensity  h k l
25.45  39  3 1 1
26.60  12  2 2 2
30.81  47  4 0 0
40.37  12  3 3 3
44.13  100  4 4 0
54.78  12  4 4 4
61.34  11  7 3 1
64.18  15  8 0 0
72.88  14  8 4 0
81.18  30  8 4 4

Cell: 11.609 11.609 11.609 Å, 90.00 90.00 90.00°
Space group Fd-3m (No. 227, origin choice 2)
Asymmetric unit:
1 Y 0.125 0.125 0.125 (multiplicity 8)
2 Ga 0.118 0.375 0.875 (multiplicity 48)
3 Cu 0.000 0.000 0.500 (multiplicity 16)


For YGa2Cu9, a DFT-relaxed cell (GGA-PBE, Alexandria) gives the simulated X-ray powder pattern in this record (λ = 1.5418 Å (Cu Kα)).
Neutral-atom scattering factors, no anomalous dispersion.

Main lines, by angle (2θ from 15° to 90°):
two_theta  intensity  h k l
34.73  39  3 2 1
39.17  100  3 1 2
39.85  80  4 2 0
41.94  38  1 0 3
45.13  23  4 0 2
45.78  33  2 1 3
46.96  92  5 0 1
48.77  47  4 2 2
71.90  30  5 5 2
85.92  16  8 4 0

Cell: 10.118 10.118 6.615 Å, 90.00 90.00 90.00°
Space group I4_1/amd (No. 141, origin choice 2)
Asymmetric unit:
1 Y 0.000 0.250 0.375 (multiplicity 4)
2 Ga 0.000 0.000 0.000 (multiplicity 8)
3 Cu 0.000 0.250 0.875 (multiplicity 4)
4 Cu 0.122 0.042 0.679 (multiplicity 32)


For YGa4Cu6, a DFT-relaxed cell (GGA-PBE, Alexandria) gives the simulated X-ray powder pattern in this record (λ = 1.5418 Å (Cu Kα)).
Neutral-atom scattering factors, no anomalous dispersion.

Main lines, by angle (2θ from 15° to 90°):
two_theta  intensity  h k l
34.18  37  1 1 1
37.43  100  2 0 1
39.89  41  2 1 0
44.91  40  0 0 2
46.02  62  2 1 1
51.11  21  3 0 1
53.05  23  2 2 0
60.33  14  3 1 1
61.61  21  2 1 2
71.98  17  2 2 2

Cell: 6.9051 6.9051 4.0363 Å, 90.00 90.00 120.00°
Space group P-6m2 (No. 187)
Asymmetric unit:
1 Y 0.0000 0.0000 0.0000 (multiplicity 1)
2 Ga 0.3333 0.6667 0.0000 (multiplicity 1)
3 Ga 0.3903 0.1952 0.5000 (multiplicity 3)
4 Cu 0.2092 0.4184 0.5000 (multiplicity 3)
5 Cu 0.5400 0.0800 0.0000 (multiplicity 3)


For Y2ZnGa3Cu4, a DFT-relaxed cell (GGA-PBE, Alexandria) gives the simulated X-ray powder pattern in this record (λ = 1.5418 Å (Cu Kα)).
Neutral-atom scattering factors, no anomalous dispersion.

Main lines, by angle (2θ from 15° to 90°):
two_theta  intensity  h k l
34.25  56  1 0 3
35.53  100  1 1 2
44.00  63  2 0 0
47.45  26  1 1 4
49.98  27  1 0 5
56.91  25  2 1 3
63.98  19  2 2 0
68.75  20  2 1 5
74.59  11  0 0 8
75.37  20  3 1 2

Cell: 4.116 4.116 10.180 Å, 90.00 90.00 90.00°
Space group P-4m2 (No. 115)
Asymmetric unit:
1 Y 0.000 0.500 0.247 (multiplicity 2)
2 Zn 0.000 0.000 0.500 (multiplicity 1)
3 Ga 0.000 0.500 0.869 (multiplicity 2)
4 Ga 0.500 0.500 0.500 (multiplicity 1)
5 Cu 0.000 0.000 0.000 (multiplicity 1)
6 Cu 0.000 0.500 0.635 (multiplicity 2)
7 Cu 0.500 0.500 0.000 (multiplicity 1)